Structure and theoretical powder diffractogram of Tl7In4Ga (a crystal structure in Alexandria, relaxed with GGA-PBE; copper Kα).
Peak positions follow from Bragg's law for the DFT cell and can differ from measured ones.

Principal peaks in the range 5 to 70 degrees two-theta, in order of rising 2θ:
- d = 2.744 Å, 32.6°, I = 100, (1 1 0)
- d = 2.718 Å, 32.9°, I = 95, (1 0 4)
- d = 1.931 Å, 47.1°, I = 35, (0 2 4)
- d = 1.584 Å, 58.2°, I = 19, (3 0 0)
- d = 1.579 Å, 58.4°, I = 37, (2 1 4)
- d = 1.565 Å, 59.0°, I = 16, (0 1 8)

Atomic structure:
```
data_Tl7In4Ga
_chemical_formula_sum 'Tl7 In4 Ga1'
_symmetry_space_group_name_H-M 'P 1'
_symmetry_Int_Tables_number 1
_cell_length_a 5.4870
_cell_length_b 5.4870
_cell_length_c 13.2572
_cell_angle_alpha 90.00
_cell_angle_beta 90.00
_cell_angle_gamma 120.00
loop_
_symmetry_equiv_pos_as_xyz
'x,y,z'
loop_
_atom_site_label
_atom_site_type_symbol
_atom_site_fract_x
_atom_site_fract_y
_atom_site_fract_z
Tl1 Tl 0.0000 0.0000 0.0000
Tl2 Tl 0.0000 0.0000 0.2606
Tl3 Tl 0.0000 0.0000 0.7394
Tl4 Tl 0.3333 0.6667 0.1572
Tl5 Tl 0.3333 0.6667 0.4171
Tl6 Tl 0.6667 0.3333 0.5829
Tl7 Tl 0.6667 0.3333 0.8428
In1 In 0.3333 0.6667 0.6611
In2 In 0.3333 0.6667 0.9053
In3 In 0.6667 0.3333 0.0947
In4 In 0.6667 0.3333 0.3389
Ga1 Ga 0.0000 0.0000 0.5000
```